# 1
# Nb9PO25
Simulated powder X-ray diffraction pattern, a wavelength of 1.5418 Å. Input: a structure optimized by DFT (PBE).
Lines closer than 0.1° are merged.

Most intense lines, 2θ = 10–90°, by angle:
2θ 17.64, intensity 32; 2θ 23.55, intensity 50; 2θ 25.04, intensity 100; 2θ 26.11, intensity 23; 2θ 30.65, intensity 46; 2θ 35.71, intensity 17; 2θ 43.33, intensity 24; 2θ 46.71, intensity 17; 2θ 51.99, intensity 26; 2θ 53.72, intensity 19

Crystal structure
```
35
Lattice="11.2438 -1.9447 0.0000 11.2438 1.9447 0.0000 -11.2427 0.0000 11.2446" Properties=species:S:1:pos:R:3 pbc="T T T"
Nb 0.0000 0.0000 0.0000
Nb -7.5652 -0.2001 10.0240
Nb -2.4269 -0.1893 4.9761
Nb 1.2202 -0.1401 3.6794
Nb 4.9755 -0.1503 2.4264
Nb 6.2694 -0.1503 8.8182
Nb 10.0247 -0.1401 7.5651
Nb 13.6718 -0.1893 6.2685
Nb 18.8102 -0.2001 1.2206
P 5.6225 -1.1405 5.6223
O 3.0159 1.7253 7.9766
O 8.2291 1.7253 3.2679
O -4.3293 -0.0411 5.7541
O -9.3448 -0.1628 10.5447
O 0.7010 -0.1417 1.8993
O -0.5046 -0.0934 4.4407
O -5.5031 -0.2103 8.9980
O -1.5624 -0.1288 7.1502
O 4.4396 -0.2466 0.5040
O 3.2679 -0.1217 3.0155
O 2.2483 -0.1284 5.7396
O 7.1505 -0.2099 1.5639
O 5.7544 -0.2958 4.3298
O 11.2438 -0.1186 0.0000
O 5.4905 -0.2958 6.9148
O 4.0944 -0.2099 9.6807
O 8.9967 -0.1284 5.5050
O 7.9770 -0.1217 8.2291
O 12.8073 -0.1288 4.0944
O 6.8053 -0.2466 10.7406
O 11.7495 -0.0934 6.8039
O 16.7481 -0.2103 2.2465
O 10.5439 -0.1417 9.3453
O 15.5743 -0.0411 5.4905
O 20.5897 -0.1628 0.6999
```

# 2
# Sr4Nb3PO14
Simulated powder X-ray diffraction pattern, a wavelength of 1.5418 Å. Input: a structure optimized by DFT (PBE).
Lines closer than 0.1° are merged.

Most intense lines, 2θ = 10–90°, by angle:
2θ 24.37, intensity 30; 2θ 27.00, intensity 92; 2θ 27.57, intensity 66; 2θ 28.36, intensity 37; 2θ 28.98, intensity 100; 2θ 31.17, intensity 57; 2θ 31.30, intensity 57; 2θ 32.45, intensity 56; 2θ 43.80, intensity 61; 2θ 54.24, intensity 26

Crystal structure
```
22
Lattice="4.1360 0.0000 0.0000 -0.1125 5.7607 0.0000 -1.7418 -1.1739 13.2101" Properties=species:S:1:pos:R:3 pbc="T T T"
Sr 0.0000 0.0000 0.0000
Sr 0.0330 2.9384 3.1758
Sr 0.1529 -0.0494 7.3638
Sr 2.0211 2.8868 9.6934
Nb 2.0661 2.8025 0.2152
Nb 2.0834 -0.0227 3.1208
Nb 2.2588 2.8656 6.0549
P -0.2436 -0.1345 10.4909
O 0.1169 2.6590 0.3704
O 0.1601 -0.1406 2.9345
O 0.0656 2.8432 5.7814
O -0.0767 1.1884 9.6857
O 0.1531 4.4667 9.5822
O 0.3344 0.0610 11.9631
O 0.5796 2.9231 12.1405
O 2.2560 0.9989 1.4032
O 2.1464 3.9487 1.7766
O 2.1598 1.5267 4.2091
O 2.1258 4.2971 4.4268
O 2.1541 1.4046 7.2232
O 2.1359 4.1935 7.3502
O 2.4471 -0.5287 10.7890
```

# 3
# Sr4Nb3PO14
Simulated powder X-ray diffraction pattern, a wavelength of 1.5418 Å. Input: a structure optimized by DFT (PBE).
Lines closer than 0.1° are merged.

Most intense lines, 2θ = 10–90°, by angle:
2θ 26.18, intensity 34; 2θ 26.80, intensity 66; 2θ 27.13, intensity 53; 2θ 28.30, intensity 99; 2θ 29.03, intensity 35; 2θ 30.15, intensity 72; 2θ 31.18, intensity 100; 2θ 32.19, intensity 40; 2θ 32.34, intensity 47; 2θ 44.38, intensity 65

Crystal structure
```
22
Lattice="4.0821 0.0000 0.0000 0.0100 5.7481 0.0000 2.0016 0.8703 13.3130" Properties=species:S:1:pos:R:3 pbc="T T T"
Sr 0.0000 0.0000 0.0000
Sr 1.8412 3.3885 10.8798
Sr 1.9208 0.8070 6.5048
Sr 3.9489 3.7727 4.1881
Nb 1.9568 0.7292 2.8626
Nb 3.8379 6.1231 10.3096
Nb 4.0485 3.4331 7.6594
P 2.1877 3.2698 0.4201
O 1.8669 5.9402 10.5718
O 1.8875 3.2467 7.8950
O 1.8858 5.2393 4.2776
O 1.9263 2.2378 3.8874
O 1.7329 1.8794 1.0240
O 1.8597 4.5089 1.3422
O 3.6999 4.4906 12.2824
O 3.9750 1.6232 11.7440
O 3.9178 4.2396 9.5823
O 3.8706 1.4517 8.8232
O 3.9607 4.9749 6.6182
O 3.9412 2.2370 6.1717
O 3.9042 0.4943 2.5604
O 3.6997 3.1520 0.2676
```